[1]
Structure and theoretical PXRD pattern of Ag13As2 (a crystal structure in Alexandria, relaxed with GGA-PBE; Cu Kα, 1.54184 Å).
Peak positions follow from Bragg's law for the DFT cell and can differ from measured ones.

Largest 8 diffraction maxima, sorted by position, 2θ = 15–90°:
37.31°, d = 2.410 Å, intensity 100; 37.42°, d = 2.403 Å, intensity 100; 43.14°, d = 2.097 Å, intensity 33; 43.29°, d = 2.090 Å, intensity 32; 43.82°, d = 2.066 Å, intensity 31; 63.17°, d = 1.472 Å, intensity 20; 75.40°, d = 1.261 Å, intensity 17; 76.28°, d = 1.248 Å, intensity 17

Structure:
Cell: 6.5467 6.6028 7.2226 Å, 68.54 69.32 84.32°
Element x y z (fractional)
Ag (0.0000, 0.0000, 0.0000)
Ag (0.0670, 0.7347, 0.3992)
Ag (0.1990, 0.2026, 0.1978)
Ag (0.2672, 0.9371, 0.5930)
Ag (0.3287, 0.6660, 0.9960)
Ag (0.4032, 0.4006, 0.3960)
Ag (0.4676, 0.1288, 0.8034)
Ag (0.5324, 0.8712, 0.1966)
Ag (0.5968, 0.5994, 0.6040)
Ag (0.6713, 0.3340, 0.0040)
Ag (0.7328, 0.0629, 0.4070)
Ag (0.8010, 0.7974, 0.8022)
Ag (0.9330, 0.2653, 0.6008)
As (0.1438, 0.4568, 0.7860)
As (0.8562, 0.5432, 0.2140)

[2]
Structure and theoretical PXRD pattern of Ag4As (a crystal structure in Alexandria, relaxed with GGA-PBE; Cu Kα, 1.54184 Å).
Peak positions follow from Bragg's law for the DFT cell and can differ from measured ones.

Largest 8 diffraction maxima, sorted by position, 2θ = 15–90°:
37.31°, d = 2.410 Å, intensity 100; 42.78°, d = 2.114 Å, intensity 17; 43.63°, d = 2.074 Å, intensity 31; 62.76°, d = 1.480 Å, intensity 20; 63.42°, d = 1.467 Å, intensity 10; 74.74°, d = 1.270 Å, intensity 12; 75.94°, d = 1.253 Å, intensity 23; 79.55°, d = 1.205 Å, intensity 10

Structure:
Cell: 6.5596 6.5596 4.2272 Å, 90.00 90.00 90.00°
Element x y z (fractional)
Ag (0.1049, 0.6970, 0.0000)
Ag (0.1970, 0.3951, 0.5000)
Ag (0.3030, 0.1049, 0.0000)
Ag (0.3951, 0.8030, 0.5000)
Ag (0.6049, 0.1970, 0.5000)
Ag (0.6970, 0.8951, 0.0000)
Ag (0.8030, 0.6049, 0.5000)
Ag (0.8951, 0.3030, 0.0000)
As (0.0000, 0.0000, 0.5000)
As (0.5000, 0.5000, 0.0000)

[3]
Structure and theoretical PXRD pattern of Ag5As3 (a crystal structure in Alexandria, relaxed with GGA-PBE; Cu Kα, 1.54184 Å).
Peak positions follow from Bragg's law for the DFT cell and can differ from measured ones.

Largest 8 diffraction maxima, sorted by position, 2θ = 15–90°:
37.07°, d = 2.425 Å, intensity 100; 42.55°, d = 2.125 Å, intensity 34; 44.10°, d = 2.053 Å, intensity 15; 61.75°, d = 1.502 Å, intensity 11; 62.95°, d = 1.476 Å, intensity 20; 74.19°, d = 1.278 Å, intensity 12; 74.33°, d = 1.276 Å, intensity 12; 76.47°, d = 1.246 Å, intensity 11

Structure:
Cell: 8.2133 8.4891 4.2540 Å, 90.00 90.00 90.00°
Element x y z (fractional)
Ag (0.0000, 0.0000, 0.0000)
Ag (0.0000, 0.2530, 0.5000)
Ag (0.0000, 0.7470, 0.5000)
Ag (0.2500, 0.2500, 0.0000)
Ag (0.2500, 0.7500, 0.0000)
Ag (0.5000, 0.2470, 0.5000)
Ag (0.5000, 0.5000, 0.0000)
Ag (0.5000, 0.7530, 0.5000)
Ag (0.7500, 0.2500, 0.0000)
Ag (0.7500, 0.7500, 0.0000)
As (0.0000, 0.5000, 0.0000)
As (0.2402, 0.0000, 0.5000)
As (0.2598, 0.5000, 0.5000)
As (0.5000, 0.0000, 0.0000)
As (0.7402, 0.5000, 0.5000)
As (0.7598, 0.0000, 0.5000)

[4]
Structure and theoretical PXRD pattern of AgGeAs2Au (a crystal structure in Alexandria, relaxed with GGA-PBE; Cu Kα, 1.54184 Å).
Peak positions follow from Bragg's law for the DFT cell and can differ from measured ones.

Largest 8 diffraction maxima, sorted by position, 2θ = 15–90°:
17.27°, d = 5.135 Å, intensity 48; 24.52°, d = 3.631 Å, intensity 45; 25.05°, d = 3.555 Å, intensity 88; 34.95°, d = 2.568 Å, intensity 100; 36.47°, d = 2.464 Å, intensity 45; 43.48°, d = 2.082 Å, intensity 41; 50.25°, d = 1.816 Å, intensity 35; 51.40°, d = 1.778 Å, intensity 66

Structure:
Cell: 5.1351 5.1351 4.9274 Å, 90.00 90.00 90.00°
Element x y z (fractional)
Ag (0.0000, 0.0000, 0.0000)
Ge (0.5000, 0.5000, 0.0000)
As (0.0000, 0.5000, 0.5000)
As (0.5000, 0.0000, 0.5000)
Au (0.5000, 0.5000, 0.5000)

[5]
Structure and theoretical PXRD pattern of Ag2BAs (a crystal structure in Alexandria, relaxed with GGA-PBE; Cu Kα, 1.54184 Å).
Peak positions follow from Bragg's law for the DFT cell and can differ from measured ones.

Largest 8 diffraction maxima, sorted by position, 2θ = 15–90°:
24.15°, d = 3.685 Å, intensity 12; 27.96°, d = 3.192 Å, intensity 27; 39.95°, d = 2.257 Å, intensity 100; 49.46°, d = 1.843 Å, intensity 7; 57.77°, d = 1.596 Å, intensity 16; 65.38°, d = 1.427 Å, intensity 9; 72.55°, d = 1.303 Å, intensity 32; 86.19°, d = 1.128 Å, intensity 10

Structure:
Cell: 6.3833 6.3833 6.3833 Å, 90.00 90.00 90.00°
Element x y z (fractional)
Ag (0.2500, 0.2500, 0.2500)
Ag (0.2500, 0.2500, 0.7500)
Ag (0.2500, 0.7500, 0.2500)
Ag (0.2500, 0.7500, 0.7500)
Ag (0.7500, 0.2500, 0.2500)
Ag (0.7500, 0.2500, 0.7500)
Ag (0.7500, 0.7500, 0.2500)
Ag (0.7500, 0.7500, 0.7500)
B (0.0000, 0.0000, 0.0000)
B (0.0000, 0.5000, 0.5000)
B (0.5000, 0.0000, 0.5000)
B (0.5000, 0.5000, 0.0000)
As (0.0000, 0.0000, 0.5000)
As (0.0000, 0.5000, 0.0000)
As (0.5000, 0.0000, 0.0000)
As (0.5000, 0.5000, 0.5000)

[6]
Structure and theoretical PXRD pattern of BaAg4As (a crystal structure in Alexandria, relaxed with GGA-PBE; Cu Kα, 1.54184 Å).
Peak positions follow from Bragg's law for the DFT cell and can differ from measured ones.

Largest 8 diffraction maxima, sorted by position, 2θ = 15–90°:
18.79°, d = 4.723 Å, intensity 9; 30.92°, d = 2.892 Å, intensity 24; 36.43°, d = 2.466 Å, intensity 100; 38.11°, d = 2.361 Å, intensity 43; 58.64°, d = 1.574 Å, intensity 32; 64.43°, d = 1.446 Å, intensity 28; 76.34°, d = 1.247 Å, intensity 11; 77.39°, d = 1.233 Å, intensity 15

Structure:
Cell: 5.7841 5.7841 5.7841 Å, 60.00 60.00 60.00°
Element x y z (fractional)
Ba (0.0000, 0.0000, 0.0000)
Ag (0.1256, 0.6248, 0.6248)
Ag (0.6248, 0.1256, 0.6248)
Ag (0.6248, 0.6248, 0.1256)
Ag (0.6248, 0.6248, 0.6248)
As (0.2500, 0.2500, 0.2500)

[7]
Structure and theoretical PXRD pattern of BaMnAgAs2 (a crystal structure in Alexandria, relaxed with GGA-PBE; Cu Kα, 1.54184 Å).
Peak positions follow from Bragg's law for the DFT cell and can differ from measured ones.

Largest 8 diffraction maxima, sorted by position, 2θ = 15–90°:
27.79°, d = 3.211 Å, intensity 59; 30.51°, d = 2.930 Å, intensity 100; 31.62°, d = 2.830 Å, intensity 37; 37.29°, d = 2.411 Å, intensity 21; 45.29°, d = 2.002 Å, intensity 17; 47.64°, d = 1.909 Å, intensity 24; 53.52°, d = 1.712 Å, intensity 21; 55.61°, d = 1.653 Å, intensity 28

Structure:
Cell: 6.3859 6.3859 7.7563 Å, 90.00 90.00 127.39°
Element x y z (fractional)
Ba (0.2500, 0.7500, 0.7657)
Ba (0.7500, 0.2500, 0.2343)
Mn (0.2500, 0.2500, 0.0000)
Mn (0.7500, 0.7500, 0.0000)
Ag (0.0000, 0.0000, 0.5000)
Ag (0.5000, 0.5000, 0.5000)
As (0.0979, 0.9021, 0.1926)
As (0.4021, 0.5979, 0.1926)
As (0.5979, 0.4021, 0.8074)
As (0.9021, 0.0979, 0.8074)

[8]
Structure and theoretical PXRD pattern of BaAgAsO4 (a crystal structure in Alexandria, relaxed with GGA-PBE; Cu Kα, 1.54184 Å).
Peak positions follow from Bragg's law for the DFT cell and can differ from measured ones.

Largest 8 diffraction maxima, sorted by position, 2θ = 15–90°:
17.22°, d = 5.149 Å, intensity 38; 19.91°, d = 4.459 Å, intensity 14; 28.31°, d = 3.153 Å, intensity 100; 33.32°, d = 2.689 Å, intensity 16; 50.11°, d = 1.820 Å, intensity 39; 58.55°, d = 1.576 Å, intensity 16; 66.29°, d = 1.410 Å, intensity 16; 80.62°, d = 1.192 Å, intensity 20

Structure:
Cell: 6.3057 6.3057 6.3057 Å, 60.00 60.00 60.00°
Element x y z (fractional)
Ba (0.0000, 0.0000, 0.0000)
Ag (0.2500, 0.2500, 0.2500)
As (0.5000, 0.5000, 0.5000)
O (0.3895, 0.3895, 0.3895)
O (0.3895, 0.3895, 0.8314)
O (0.3895, 0.8314, 0.3895)
O (0.8314, 0.3895, 0.3895)

[9]
Structure and theoretical PXRD pattern of Ba2AgAs3Pd4 (a crystal structure in Alexandria, relaxed with GGA-PBE; Cu Kα, 1.54184 Å).
Peak positions follow from Bragg's law for the DFT cell and can differ from measured ones.

Largest 8 diffraction maxima, sorted by position, 2θ = 15–90°:
32.34°, d = 2.768 Å, intensity 54; 32.56°, d = 2.750 Å, intensity 100; 39.37°, d = 2.289 Å, intensity 67; 44.64°, d = 2.030 Å, intensity 22; 47.94°, d = 1.898 Å, intensity 21; 51.84°, d = 1.764 Å, intensity 28; 56.90°, d = 1.618 Å, intensity 22; 67.11°, d = 1.395 Å, intensity 24

Structure:
Cell: 4.5772 4.5772 10.4262 Å, 90.00 90.00 90.00°
Element x y z (fractional)
Ba (0.0000, 0.5000, 0.2491)
Ba (0.5000, 0.0000, 0.7509)
Ag (0.5000, 0.5000, 0.0000)
As (0.0000, 0.0000, 0.0000)
As (0.0000, 0.5000, 0.6212)
As (0.5000, 0.0000, 0.3788)
Pd (0.0000, 0.0000, 0.5000)
Pd (0.0000, 0.5000, 0.8648)
Pd (0.5000, 0.0000, 0.1352)
Pd (0.5000, 0.5000, 0.5000)

[10]
Structure and theoretical PXRD pattern of Ba6Ag2AsPt (a crystal structure in Alexandria, relaxed with GGA-PBE; Cu Kα, 1.54184 Å).
Peak positions follow from Bragg's law for the DFT cell and can differ from measured ones.

Largest 8 diffraction maxima, sorted by position, 2θ = 15–90°:
23.86°, d = 3.730 Å, intensity 51; 25.07°, d = 3.553 Å, intensity 72; 25.25°, d = 3.527 Å, intensity 82; 29.84°, d = 2.994 Å, intensity 100; 31.96°, d = 2.801 Å, intensity 90; 37.83°, d = 2.378 Å, intensity 69; 38.32°, d = 2.349 Å, intensity 55; 44.20°, d = 2.049 Å, intensity 64

Structure:
Cell: 8.0562 8.9578 14.3192 Å, 90.00 123.24 90.00°
Element x y z (fractional)
Ba (0.1111, 0.0418, 0.2483)
Ba (0.1111, 0.4582, 0.7483)
Ba (0.2370, 0.6878, 0.0666)
Ba (0.2370, 0.8122, 0.5666)
Ba (0.3837, 0.1826, 0.0631)
Ba (0.3837, 0.3174, 0.5631)
Ba (0.6163, 0.6826, 0.4369)
Ba (0.6163, 0.8174, 0.9369)
Ba (0.7630, 0.1878, 0.4334)
Ba (0.7630, 0.3122, 0.9334)
Ba (0.8889, 0.5418, 0.2517)
Ba (0.8889, 0.9582, 0.7517)
Ag (0.3001, 0.1039, 0.7519)
Ag (0.3001, 0.3961, 0.2519)
Ag (0.6999, 0.6039, 0.7481)
Ag (0.6999, 0.8961, 0.2481)
As (0.5000, 0.0000, 0.5000)
As (0.5000, 0.5000, 0.0000)
Pt (0.0000, 0.0000, 0.0000)
Pt (0.0000, 0.5000, 0.5000)

[11]
Structure and theoretical PXRD pattern of BaAgSnAs2 (a crystal structure in Alexandria, relaxed with GGA-PBE; Cu Kα, 1.54184 Å).
Peak positions follow from Bragg's law for the DFT cell and can differ from measured ones.

Largest 8 diffraction maxima, sorted by position, 2θ = 15–90°:
27.26°, d = 3.272 Å, intensity 99; 30.92°, d = 2.892 Å, intensity 51; 34.07°, d = 2.632 Å, intensity 100; 35.69°, d = 2.516 Å, intensity 30; 36.51°, d = 2.461 Å, intensity 59; 40.20°, d = 2.243 Å, intensity 27; 48.56°, d = 1.875 Å, intensity 24; 55.36°, d = 1.660 Å, intensity 23

Structure:
Cell: 7.1511 7.1511 9.3427 Å, 101.66 101.66 40.26°
Element x y z (fractional)
Ba (0.1713, 0.1713, 0.2018)
Ba (0.8287, 0.8287, 0.7982)
Ag (0.1396, 0.1396, 0.5658)
Ag (0.8604, 0.8604, 0.4342)
Sn (0.4473, 0.4473, 0.2896)
Sn (0.5527, 0.5527, 0.7104)
As (0.1078, 0.1078, 0.8386)
As (0.3575, 0.3575, 0.5625)
As (0.6425, 0.6425, 0.4375)
As (0.8922, 0.8922, 0.1614)

[12]
Structure and theoretical PXRD pattern of BeAgAs (a crystal structure in Alexandria, relaxed with GGA-PBE; Cu Kα, 1.54184 Å).
Peak positions follow from Bragg's law for the DFT cell and can differ from measured ones.

Largest 8 diffraction maxima, sorted by position, 2θ = 15–90°:
26.77°, d = 3.330 Å, intensity 67; 28.68°, d = 3.113 Å, intensity 41; 33.82°, d = 2.650 Å, intensity 100; 41.14°, d = 2.194 Å, intensity 15; 41.28°, d = 2.187 Å, intensity 23; 49.88°, d = 1.828 Å, intensity 23; 51.94°, d = 1.761 Å, intensity 45; 59.39°, d = 1.556 Å, intensity 15

Structure:
Cell: 3.8441 3.8467 8.7484 Å, 89.97 89.93 60.04°
Element x y z (fractional)
Be (0.0000, 0.0000, 0.0000)
Be (0.0582, 0.8777, 0.5000)
Ag (0.4079, 0.9396, 0.2497)
Ag (0.4085, 0.9399, 0.7495)
As (0.3399, 0.3341, 0.9996)
As (0.7317, 0.5438, 0.4995)

[13]
Structure and theoretical PXRD pattern of BeAg2AsO4 (a crystal structure in Alexandria, relaxed with GGA-PBE; Cu Kα, 1.54184 Å).
Peak positions follow from Bragg's law for the DFT cell and can differ from measured ones.

Largest 8 diffraction maxima, sorted by position, 2θ = 15–90°:
20.76°, d = 4.279 Å, intensity 27; 33.83°, d = 2.650 Å, intensity 100; 34.99°, d = 2.564 Å, intensity 36; 38.98°, d = 2.311 Å, intensity 12; 41.04°, d = 2.199 Å, intensity 22; 50.33°, d = 1.813 Å, intensity 15; 59.75°, d = 1.548 Å, intensity 21; 62.02°, d = 1.496 Å, intensity 32

Structure:
Cell: 5.1283 5.1283 7.7644 Å, 90.00 90.00 90.00°
Element x y z (fractional)
Be (0.0000, 0.0000, 0.0000)
Be (0.5000, 0.5000, 0.5000)
Ag (0.0000, 0.0000, 0.5000)
Ag (0.0000, 0.5000, 0.7500)
Ag (0.5000, 0.0000, 0.2500)
Ag (0.5000, 0.5000, 0.0000)
As (0.0000, 0.5000, 0.2500)
As (0.5000, 0.0000, 0.7500)
O (0.1235, 0.7582, 0.1205)
O (0.2418, 0.1235, 0.8795)
O (0.2582, 0.3765, 0.3795)
O (0.3765, 0.7418, 0.6205)
O (0.6235, 0.2582, 0.6205)
O (0.7418, 0.6235, 0.3795)
O (0.7582, 0.8765, 0.8795)
O (0.8765, 0.2418, 0.1205)

[14]
Structure and theoretical PXRD pattern of AgBiAs2O8 (a crystal structure in Alexandria, relaxed with GGA-PBE; Cu Kα, 1.54184 Å).
Peak positions follow from Bragg's law for the DFT cell and can differ from measured ones.

Largest 8 diffraction maxima, sorted by position, 2θ = 15–90°:
18.30°, d = 4.848 Å, intensity 24; 24.57°, d = 3.623 Å, intensity 100; 32.54°, d = 2.751 Å, intensity 74; 35.03°, d = 2.562 Å, intensity 24; 48.56°, d = 1.875 Å, intensity 62; 50.37°, d = 1.811 Å, intensity 15; 61.26°, d = 1.513 Å, intensity 18; 72.56°, d = 1.303 Å, intensity 15

Structure:
Cell: 6.0737 6.0737 6.0737 Å, 106.76 106.76 115.04°
Element x y z (fractional)
Ag (0.0000, 0.0000, 0.0000)
Bi (0.2500, 0.7500, 0.5000)
As (0.5000, 0.5000, 0.0000)
As (0.7500, 0.2500, 0.5000)
O (0.3244, 0.1458, 0.8214)
O (0.3244, 0.5030, 0.1786)
O (0.3943, 0.0716, 0.3227)
O (0.4970, 0.6756, 0.8214)
O (0.7490, 0.0716, 0.6773)
O (0.8542, 0.6756, 0.1786)
O (0.9284, 0.2510, 0.3227)
O (0.9284, 0.6057, 0.6773)